Simulated powder X-ray diffraction pattern of Er4Hg2Ir for copper Kα, from a crystal structure in Alexandria, relaxed with GGA-PBE.
Neutral-atom scattering factors, no anomalous dispersion.

The 10 most intense peaks (2θ = 10–80°), in order of rising 2θ:
- 2θ = 24.2°, rel. 39, (1 3 0)
- 2θ = 25.8°, rel. 64, (1 1 1)
- 2θ = 30.9°, rel. 73, (1 4 0)
- 2θ = 32.6°, rel. 100, (2 1 1)
- 2θ = 33.0°, rel. 35, (1 3 1)
- 2θ = 35.0°, rel. 69, (2 2 1)
- 2θ = 37.2°, rel. 35, (3 2 0)
- 2θ = 44.3°, rel. 40, (1 5 1)
- 2θ = 45.0°, rel. 40, (0 0 2)
- 2θ = 55.6°, rel. 28, (1 4 2)

```
data_Er4Hg2Ir
_space_group_name_H-M_alt 'P b a m'
_space_group_IT_number 55
_cell_length_a 7.8725
_cell_length_b 12.4568
_cell_length_c 4.0295
_cell_angle_alpha 90.00
_cell_angle_beta 90.00
_cell_angle_gamma 90.00
loop_
_space_group_symop_operation_xyz
'x,y,z'
'-x,-y,-z'
'-x,-y,z'
'x,y,-z'
'x+1/2,-y+1/2,-z'
'-x+1/2,y+1/2,z'
'-x+1/2,y+1/2,-z'
'x+1/2,-y+1/2,z'
loop_
_atom_site_label
_atom_site_fract_x
_atom_site_fract_y
_atom_site_fract_z
Er1 0.1324 0.1979 0.0000
Er2 0.2212 0.9468 0.5000
Hg1 0.0763 0.6685 0.5000
Ir1 0.0000 0.0000 0.0000
```


Simulated powder X-ray diffraction pattern of CdIn3Hg4 for copper Kα, from a crystal structure in Alexandria, relaxed with GGA-PBE.
Neutral-atom scattering factors, no anomalous dispersion.

The 10 most intense peaks (2θ = 10–80°), in order of rising 2θ:
- 2θ = 30.7°, rel. 100, (1 1 1)
- 2θ = 31.9°, rel. 47, (0 0 4)
- 2θ = 35.3°, rel. 38, (0 2 0)
- 2θ = 38.4°, rel. 76, (1 1 3)
- 2θ = 48.3°, rel. 30, (0 2 4)
- 2θ = 48.6°, rel. 16, (2 0 0)
- 2θ = 59.4°, rel. 16, (2 0 4)
- 2θ = 61.5°, rel. 16, (2 2 0)
- 2θ = 66.0°, rel. 19, (1 1 7)
- 2θ = 71.0°, rel. 19, (2 2 4)

```
data_CdIn3Hg4
_space_group_name_H-M_alt 'P m m 2'
_space_group_IT_number 25
_cell_length_a 3.7439
_cell_length_b 5.0837
_cell_length_c 11.2173
_cell_angle_alpha 90.00
_cell_angle_beta 90.00
_cell_angle_gamma 90.00
loop_
_space_group_symop_operation_xyz
'x,y,z'
'-x,-y,z'
'-x,y,z'
'x,-y,z'
loop_
_atom_site_label
_atom_site_fract_x
_atom_site_fract_y
_atom_site_fract_z
Cd1 0.0000 0.0000 0.0000
In1 0.0000 0.5000 0.7749
In2 0.5000 0.0000 0.5029
In3 0.5000 0.5000 0.2773
Hg1 0.0000 0.0000 0.2630
Hg2 0.0000 0.5000 0.5091
Hg3 0.5000 0.0000 0.7730
Hg4 0.5000 0.5000 0.0102
```